Record 1
Sm3Th4Bi8: simulated XRD peak list (CuKα), based on a crystal structure in Alexandria, relaxed with GGA-PBE.
Kinematic intensities with the Lorentz-polarization factor, no thermal factor.

The 10 most intense peaks (10 to 90 degrees two-theta), in order of falling intensity:
d [Å]  Position (°2θ)  intensity  index
3.233  27.59  100  0 4 0
2.285  39.43  59  4 0 0
2.279  39.54  58  4 4 -2
3.217  27.73  49  4 0 -2
1.863  48.88  43  4 4 0
1.444  64.54  24  0 8 2
1.318  71.59  21  4 4 -6
1.447  64.39  14  4 0 2
1.441  64.71  14  8 0 -2
1.320  71.44  7  4 4 2

Structure:
abc: 12.8697 12.9154 9.1178
angles: 90.00 134.77 90.00
Space group C2/m (No. 12)
Inequivalent atoms, fractional coordinates:
1 Sm 0.0000 0.0000 0.0000 (multiplicity 2)
2 Sm 0.2500 0.2500 0.0000 (multiplicity 4)
3 Th 0.0000 0.0000 0.5000 (multiplicity 2)
4 Th 0.0000 0.5000 0.0000 (multiplicity 2)
5 Th 0.2500 0.2500 0.5000 (multiplicity 4)
6 Bi 0.0000 0.2485 0.0000 (multiplicity 4)
7 Bi 0.0000 0.2569 0.5000 (multiplicity 4)
8 Bi 0.2416 0.5000 0.5009 (multiplicity 4)
9 Bi 0.2445 0.5000 0.9893 (multiplicity 4)

Record 2
KRb2NbO4: simulated XRD peak list (CuKα), based on a crystal structure in Alexandria, relaxed with GGA-PBE.
Kinematic intensities with the Lorentz-polarization factor, no thermal factor.

The 10 most intense peaks (10 to 90 degrees two-theta), in order of falling intensity:
d [Å]  Position (°2θ)  intensity  index
3.134  28.48  100  2 1 1
3.260  27.36  49  0 0 2
3.192  27.96  42  0 2 1
1.763  51.87  37  2 3 2
3.574  24.92  36  2 1 0
2.096  43.15  29  2 3 0
1.857  49.06  28  2 1 3
3.660  24.32  26  0 2 0
5.101  17.38  19  1 0 1
2.409  37.34  16  2 1 2

Structure:
abc: 8.1900 7.3199 6.5202
angles: 90.00 90.00 90.00
Space group Pmn2_1 (No. 31)
Inequivalent atoms, fractional coordinates:
1 K 0.0000 0.1479 0.0000 (multiplicity 2)
2 Rb 0.2431 0.3194 0.4980 (multiplicity 4)
3 Nb 0.0000 0.8245 0.5114 (multiplicity 2)
4 O 0.0000 0.0628 0.4002 (multiplicity 2)
5 O 0.0000 0.8394 0.7989 (multiplicity 2)
6 O 0.1908 0.6980 0.4297 (multiplicity 4)

Record 3
Pm8DyPb6: simulated XRD peak list (CuKα), based on a crystal structure in Alexandria, relaxed with GGA-PBE.
Kinematic intensities with the Lorentz-polarization factor, no thermal factor.

The 10 most intense peaks (10 to 90 degrees two-theta), in order of falling intensity:
d [Å]  Position (°2θ)  intensity  index
2.708  33.08  100  3 0 0
2.717  32.96  87  1 1 6
1.565  59.03  53  3 3 0
1.918  47.39  32  4 -2 6
2.102  43.03  23  3 0 6
3.837  23.18  22  1 1 3
4.691  18.92  21  1 1 0
1.571  58.79  17  2 -1 12
1.214  78.81  15  5 -1 12
1.212  79.00  15  7 -2 6

Structure:
abc: 9.3820 9.3820 20.0016
angles: 90.00 90.00 120.00
Space group R-3 (No. 148, hexagonal axes)
Inequivalent atoms, fractional coordinates:
1 Pm 0.0000 0.0000 0.1664 (multiplicity 6)
2 Pm 0.0006 0.6644 0.3972 (multiplicity 18)
3 Dy 0.0000 0.0000 0.5000 (multiplicity 3)
4 Pb 0.9998 0.3292 0.4312 (multiplicity 18)

Record 4
RbY4Te6: simulated XRD peak list (CuKα), based on a crystal structure in Alexandria, relaxed with GGA-PBE.
Kinematic intensities with the Lorentz-polarization factor, no thermal factor.

The 10 most intense peaks (10 to 90 degrees two-theta), in order of falling intensity:
d [Å]  Position (°2θ)  intensity  index
3.165  28.19  100  1 3 2
3.437  25.93  95  0 2 6
3.031  29.47  70  1 3 3
3.257  27.39  68  1 3 1
2.257  39.95  49  0 6 4
2.168  41.67  47  1 5 5
2.222  40.60  41  2 0 0
2.214  40.75  29  1 1 9
1.866  48.81  27  2 2 6
2.406  37.38  26  1 1 8

Structure:
abc: 4.4439 14.6702 23.3384
angles: 90.00 90.00 90.00
Space group Cmcm (No. 63)
Inequivalent atoms, fractional coordinates:
1 Rb 0.0000 0.1626 0.2500 (multiplicity 4)
2 Y 0.0000 0.0923 0.6296 (multiplicity 8)
3 Y 0.0000 0.3651 0.5391 (multiplicity 8)
4 Te 0.0000 0.0000 0.0000 (multiplicity 4)
5 Te 0.0000 0.1475 0.7500 (multiplicity 4)
6 Te 0.0000 0.2713 0.0820 (multiplicity 8)
7 Te 0.0000 0.4570 0.6534 (multiplicity 8)

Record 5
La2Cd2O5: simulated XRD peak list (CuKα), based on a crystal structure in Alexandria, relaxed with GGA-PBE.
Kinematic intensities with the Lorentz-polarization factor, no thermal factor.

The 10 most intense peaks (10 to 90 degrees two-theta), in order of falling intensity:
d [Å]  Position (°2θ)  intensity  index
2.945  30.35  100  1 4 1
3.039  29.39  44  0 0 2
3.100  28.80  25  2 0 0
1.735  52.75  24  1 4 3
1.672  54.91  17  0 8 2
2.170  41.62  17  2 0 2
1.838  49.61  16  3 3 1
3.369  26.45  16  1 3 1
2.005  45.24  12  0 8 0
2.150  42.02  10  2 1 2

Structure:
abc: 6.2008 16.0364 6.0758
angles: 90.00 90.00 90.00
Space group Pnma (No. 62)
Inequivalent atoms, fractional coordinates:
1 La 0.0625 0.1146 0.0195 (multiplicity 8)
2 Cd 0.0000 0.0000 0.5000 (multiplicity 4)
3 Cd 0.0735 0.2500 0.5394 (multiplicity 4)
4 O 0.0674 0.6404 0.6240 (multiplicity 8)
5 O 0.0682 0.7500 0.1122 (multiplicity 4)
6 O 0.1734 0.5286 0.1722 (multiplicity 8)

Record 6
HfInS: simulated XRD peak list (CuKα), based on a crystal structure in Alexandria, relaxed with GGA-PBE.
Kinematic intensities with the Lorentz-polarization factor, no thermal factor.

The 10 most intense peaks (10 to 90 degrees two-theta), in order of falling intensity:
d [Å]  Position (°2θ)  intensity  index
2.479  36.24  100  1 0 6
2.981  29.98  34  1 0 0
6.694  13.23  31  0 0 4
1.721  53.22  26  1 1 0
2.605  34.43  21  0 1 5
2.910  30.73  17  0 1 2
1.414  66.09  17  0 2 6
1.092  89.78  16  2 1 6
2.230  40.46  13  0 0 12
1.363  68.91  12  1 1 12

Structure:
abc: 3.4420 3.4420 26.7741
angles: 90.00 90.00 120.00
Space group P-3m1 (No. 164)
Inequivalent atoms, fractional coordinates:
1 Hf 0.3333 0.6667 0.1204 (multiplicity 2)
2 Hf 0.3333 0.6667 0.6359 (multiplicity 2)
3 In 0.3333 0.6667 0.2769 (multiplicity 2)
4 In 0.3333 0.6667 0.4540 (multiplicity 2)
5 S 0.3333 0.6667 0.8178 (multiplicity 2)
6 S 0.3333 0.6667 0.9371 (multiplicity 2)

Please write out number 5 again, unchanged.
La2Cd2O5: simulated XRD peak list (CuKα), based on a crystal structure in Alexandria, relaxed with GGA-PBE.
Kinematic intensities with the Lorentz-polarization factor, no thermal factor.

The 10 most intense peaks (10 to 90 degrees two-theta), in order of falling intensity:
d [Å]  Position (°2θ)  intensity  index
2.945  30.35  100  1 4 1
3.039  29.39  44  0 0 2
3.100  28.80  25  2 0 0
1.735  52.75  24  1 4 3
1.672  54.91  17  0 8 2
2.170  41.62  17  2 0 2
1.838  49.61  16  3 3 1
3.369  26.45  16  1 3 1
2.005  45.24  12  0 8 0
2.150  42.02  10  2 1 2

Structure:
abc: 6.2008 16.0364 6.0758
angles: 90.00 90.00 90.00
Space group Pnma (No. 62)
Inequivalent atoms, fractional coordinates:
1 La 0.0625 0.1146 0.0195 (multiplicity 8)
2 Cd 0.0000 0.0000 0.5000 (multiplicity 4)
3 Cd 0.0735 0.2500 0.5394 (multiplicity 4)
4 O 0.0674 0.6404 0.6240 (multiplicity 8)
5 O 0.0682 0.7500 0.1122 (multiplicity 4)
6 O 0.1734 0.5286 0.1722 (multiplicity 8)